Computed X-ray diffraction stick pattern of CaTa2O6 for λ = 1.5418 Å (Cu Kα), from a PBE-relaxed structure.

Crystal structure
```
data_CaTa2O6
_chemical_formula_sum 'Ca1 Ta2 O6'
_symmetry_space_group_name_H-M 'P -3 1 m'
_symmetry_Int_Tables_number 162
_symmetry_space_group_name_Hall '-P 3 2'
_cell_length_a 5.3182
_cell_length_b 5.3182
_cell_length_c 5.0424
_cell_angle_alpha 90.00
_cell_angle_beta 90.00
_cell_angle_gamma 120.00
loop_
_atom_site_label
_atom_site_type_symbol
_atom_site_fract_x
_atom_site_fract_y
_atom_site_fract_z
Ca1 Ca 0.0000 0.0000 0.0000
Ta1 Ta 0.3333 0.6667 0.5000
O1 O 0.0000 0.3694 0.7156
```

Peak list (6 most intense, 2θ from 15° to 90°, low angle first)
| 2θ/deg | d (Å) | I_rel |
| --- | --- | --- |
| 17.6 | 5.042 | 96 |
| 19.3 | 4.606 | 45 |
| 26.2 | 3.401 | 100 |
| 33.7 | 2.659 | 64 |
| 38.3 | 2.352 | 73 |
| 49.8 | 1.830 | 66 |